Diffraction record for Dy3Hg3Pb2. The powder XRD pattern is calculated, not measured: it uses a structure optimized by DFT (PBE) and Cu Ka.

Structure:
Cell lengths 6.061, 6.061, 6.061 Å; angles 89.42, 89.42, 89.42 degrees
Sites, in units of the cell vectors:
Dy: 0.000 0.662 0.338
Dy: 0.338 0.000 0.662
Dy: 0.662 0.338 0.000
Hg: 0.226 0.500 0.774
Hg: 0.500 0.774 0.226
Hg: 0.774 0.226 0.500
Pb: 0.163 0.163 0.163
Pb: 0.837 0.837 0.837

Peak list (10 most intense, 2θ = 10–90°, low angle first)
| d_spacing | 2theta | Rel. int. |
| --- | --- | --- |
| 3.487 | 25.5 | 175 |
| 2.721 | 32.9 | 1000 |
| 2.699 | 33.2 | 226 |
| 2.470 | 36.4 | 184 |
| 2.462 | 36.5 | 662 |
| 1.922 | 47.3 | 102 |
| 1.825 | 50.0 | 206 |
| 1.767 | 51.7 | 115 |
| 1.466 | 63.4 | 254 |
| 1.436 | 65.0 | 250 |